Diffraction record for LuCuB2. The PXRD pattern is simulated, not measured: it uses a crystal structure in OQMD, relaxed with GGA-PBE and copper Kα.
Neutral-atom scattering factors, no anomalous dispersion.

The 10 most intense peaks (2θ from 10° to 90°), most intense first:
3.364 Å, intensity 100
2.060 Å, intensity 84
1.757 Å, intensity 49
1.189 Å, intensity 27
1.337 Å, intensity 20
2.913 Å, intensity 18
1.121 Å, intensity 15
1.457 Å, intensity 13
1.303 Å, intensity 7
1.682 Å, intensity 5

Cell and atoms:
```
LuCuB2
1.0
0.0000 2.9132 2.9132
2.9132 0.0000 2.9132
2.9132 2.9132 0.0000
Lu Cu B
1 1 2
direct
0.0000 0.0000 0.0000
0.2500 0.2500 0.2500
0.5000 0.5000 0.5000
0.7500 0.7500 0.7500
```